Diffraction record for Ba2CaMnFe2F14. The X-ray diffraction stick pattern is computed, not measured: it uses the PBE+U geometry in Alexandria and CuKα.
Intensities are scaled so that the largest is 100.

a = 7.5096 Å, b = 7.5096 Å, c = 15.2501 Å
α = 91.09°, β = 91.09°, γ = 42.62°
Element x y z (fractional)
Ba 0.1393 0.2393 0.1232
Ba 0.2393 0.1393 0.6232
Ba 0.7607 0.8607 0.3768
Ba 0.8607 0.7607 0.8768
Ca 0.4459 0.5541 0.2500
Ca 0.5541 0.4459 0.7500
Mn 0.5000 0.5000 0.0000
Mn 0.5000 0.5000 0.5000
Fe 0.1176 0.1232 0.3757
Fe 0.1232 0.1176 0.8757
Fe 0.8768 0.8824 0.1243
Fe 0.8824 0.8768 0.6243
F 0.0525 0.6246 0.2219
F 0.0901 0.7358 0.5169
F 0.0926 0.8906 0.3444
F 0.1094 0.9074 0.1556
F 0.1557 0.5987 0.7046
F 0.1652 0.5729 0.0477
F 0.1907 0.3147 0.4060
F 0.2642 0.9099 0.9831
F 0.3147 0.1907 0.9060
F 0.3506 0.5384 0.8777
F 0.3754 0.9475 0.2781
F 0.4013 0.8443 0.7954
F 0.4271 0.8348 0.4523
F 0.4616 0.6494 0.6223
F 0.5384 0.3506 0.3777
F 0.5729 0.1652 0.5477
F 0.5987 0.1557 0.2046
F 0.6246 0.0525 0.7219
F 0.6494 0.4616 0.1223
F 0.6853 0.8093 0.0940
F 0.7358 0.0901 0.0169
F 0.8093 0.6853 0.5940
F 0.8348 0.4271 0.9523
F 0.8443 0.4013 0.2954
F 0.8906 0.0926 0.8444
F 0.9074 0.1094 0.6556
F 0.9099 0.2642 0.4831
F 0.9475 0.3754 0.7781

Main lines, low angle first (15 to 90 degrees two-theta):
| 2θ/deg | I_rel |
| --- | --- |
| 23.34 | 32 |
| 25.12 | 100 |
| 26.40 | 22 |
| 27.58 | 23 |
| 27.89 | 25 |
| 29.18 | 34 |
| 29.39 | 27 |
| 40.68 | 47 |